Simulated powder X-ray diffraction pattern
Compound: SiNi2Cl
Radiation: Cu Kα, 1.54184 Å
Structure: a structure optimized by DFT (GGA-PBE)

```
data_SiNi2Cl
_chemical_formula_sum 'Si1 Ni2 Cl1'
_space_group_name_H-M_alt 'P m m 2'
_space_group_IT_number 25
_space_group_name_Hall 'P 2 -2'
_cell_length_a 3.187
_cell_length_b 3.354
_cell_length_c 5.855
_cell_angle_alpha 90.00
_cell_angle_beta 90.00
_cell_angle_gamma 90.00
loop_
_atom_site_label
_atom_site_type_symbol
_atom_site_fract_x
_atom_site_fract_y
_atom_site_fract_z
Si1 Si 0.000 0.000 0.000
Ni1 Ni 0.000 0.500 0.743
Ni2 Ni 0.500 0.500 0.081
Cl1 Cl 0.500 0.500 0.472
```

Most intense lines, 2θ = 10–80°, by angle:
(hkl)	Position (°2θ)	I_rel
0 0 1	15.13	59
0 1 0	26.58	100
1 0 1	31.98	69
1 1 0	38.99	15
1 0 2	41.91	36
1 1 1	42.05	80
0 0 3	46.54	24
1 1 2	50.32	91
0 1 3	54.39	31
0 2 0	54.74	24
2 0 0	57.87	20
2 1 0	64.80	29

Simulated powder X-ray diffraction pattern
Compound: Sm3NiCl3
Radiation: Cu Kα, 1.54184 Å
Structure: a structure optimized by DFT (GGA-PBE)

```
data_Sm3NiCl3
_chemical_formula_sum 'Sm24 Ni8 Cl24'
_space_group_name_H-M_alt 'I 41 3 2'
_space_group_IT_number 214
_space_group_name_Hall 'I 4bd 2c 3'
_cell_length_a 11.481
_cell_length_b 11.481
_cell_length_c 11.481
_cell_angle_alpha 90.00
_cell_angle_beta 90.00
_cell_angle_gamma 90.00
loop_
_atom_site_label
_atom_site_type_symbol
_atom_site_fract_x
_atom_site_fract_y
_atom_site_fract_z
Sm1 Sm 0.112 0.362 0.125
Ni1 Ni 0.125 0.125 0.125
Cl1 Cl 0.122 0.128 0.625
```

Most intense lines, 2θ = 10–80°, by angle:
(hkl)	Position (°2θ)	I_rel
1 1 0	10.90	75
2 2 2	26.90	35
3 2 1	29.10	19
4 0 0	31.16	100
4 1 1	33.11	10
3 3 2	36.72	11
5 1 0	40.05	17
4 4 0	44.65	69
5 4 1	51.59	11
6 2 2	52.90	15
4 4 4	55.45	22
8 4 0	73.83	25

Simulated powder X-ray diffraction pattern
Compound: Sm3NiTeCl
Radiation: Cu Kα, 1.54184 Å
Structure: a structure optimized by DFT (GGA-PBE)

```
data_Sm3NiTeCl
_chemical_formula_sum 'Sm6 Ni2 Te2 Cl2'
_space_group_name_H-M_alt 'P 1 21/m 1'
_space_group_IT_number 11
_space_group_name_Hall '-P 2yb'
_cell_length_a 7.288
_cell_length_b 3.988
_cell_length_c 11.254
_cell_angle_alpha 90.00
_cell_angle_beta 100.36
_cell_angle_gamma 90.00
loop_
_atom_site_label
_atom_site_type_symbol
_atom_site_fract_x
_atom_site_fract_y
_atom_site_fract_z
Sm1 Sm 0.214 0.250 0.006
Sm2 Sm 0.230 0.250 0.609
Sm3 Sm 0.266 0.750 0.318
Ni1 Ni 0.490 0.750 0.556
Te1 Te 0.059 0.750 0.801
Cl1 Cl 0.473 0.750 0.126
```

Most intense lines, 2θ = 10–80°, by angle:
(hkl)	Position (°2θ)	I_rel
2 0 0	24.84	16
0 1 2	27.54	55
1 1 2	31.51	100
1 0 -4	32.51	18
2 1 -1	33.51	26
1 1 -3	33.80	14
2 1 -2	35.36	40
2 1 1	35.68	21
2 0 3	38.01	25
0 2 0	45.49	27
1 1 -5	46.64	23
3 1 -5	56.26	16

Repeat the first record exactly.
Simulated powder X-ray diffraction pattern
Compound: SiNi2Cl
Radiation: Cu Kα, 1.54184 Å
Structure: a structure optimized by DFT (GGA-PBE)

```
data_SiNi2Cl
_chemical_formula_sum 'Si1 Ni2 Cl1'
_space_group_name_H-M_alt 'P m m 2'
_space_group_IT_number 25
_space_group_name_Hall 'P 2 -2'
_cell_length_a 3.187
_cell_length_b 3.354
_cell_length_c 5.855
_cell_angle_alpha 90.00
_cell_angle_beta 90.00
_cell_angle_gamma 90.00
loop_
_atom_site_label
_atom_site_type_symbol
_atom_site_fract_x
_atom_site_fract_y
_atom_site_fract_z
Si1 Si 0.000 0.000 0.000
Ni1 Ni 0.000 0.500 0.743
Ni2 Ni 0.500 0.500 0.081
Cl1 Cl 0.500 0.500 0.472
```

Most intense lines, 2θ = 10–80°, by angle:
(hkl)	Position (°2θ)	I_rel
0 0 1	15.13	59
0 1 0	26.58	100
1 0 1	31.98	69
1 1 0	38.99	15
1 0 2	41.91	36
1 1 1	42.05	80
0 0 3	46.54	24
1 1 2	50.32	91
0 1 3	54.39	31
0 2 0	54.74	24
2 0 0	57.87	20
2 1 0	64.80	29